Record 1
Ba12Si5Pb: computed powder X-ray diffraction pattern (copper Kα), based on a GGA-PBE-relaxed structure.
No peak broadening, texture or thermal motion is included.

Atomic structure:
Lattice parameters (Å, degrees): 11.014 11.511 11.851 90.00 90.00 90.00
Space group Immm (No. 71)
Inequivalent atoms, fractional coordinates:
Ba 0.000 0.197 0.216
Ba 0.197 0.500 0.179
Ba 0.215 0.319 0.500
Si 0.000 0.000 0.000
Si 0.000 0.390 0.000
Si 0.000 0.500 0.397
Pb 0.000 0.000 0.500

Main lines, low angle first (2θ from 10° to 80°):
- 2θ = 23.93°, I = 22, hkl 1 0 3
- 2θ = 24.38°, I = 38, hkl 0 3 1
- 2θ = 25.46°, I = 31, hkl 3 1 0
- 2θ = 26.99°, I = 100, hkl 2 2 2
- 2θ = 28.88°, I = 96, hkl 2 1 3
- 2θ = 29.83°, I = 26, hkl 3 2 1
- 2θ = 32.52°, I = 19, hkl 4 0 0
- 2θ = 44.95°, I = 27, hkl 0 3 5
- 2θ = 48.68°, I = 23, hkl 2 5 3
- 2θ = 50.17°, I = 25, hkl 5 3 2

=====

Record 2
Ba2Sn6Pb: computed powder X-ray diffraction pattern (copper Kα), based on a GGA-PBE-relaxed structure.
No peak broadening, texture or thermal motion is included.

Atomic structure:
Lattice parameters (Å, degrees): 12.376 7.108 6.703 90.00 90.13 90.00
Space group C2/m (No. 12)
Inequivalent atoms, fractional coordinates:
Ba 0.166 0.000 0.150
Sn 0.094 0.220 0.655
Sn 0.187 0.500 0.344
Pb 0.000 0.500 0.000

Main lines, low angle first (2θ from 10° to 80°):
- 2θ = 28.34°, I = 55, hkl 3 1 1
- 2θ = 28.43°, I = 28, hkl 0 2 1
- 2θ = 30.35°, I = 87, hkl 2 0 -2
- 2θ = 31.88°, I = 50, hkl 4 0 1
- 2θ = 31.95°, I = 100, hkl 2 2 -1
- 2θ = 39.76°, I = 25, hkl 2 2 2
- 2θ = 46.23°, I = 23, hkl 3 3 1
- 2θ = 51.21°, I = 27, hkl 6 2 0
- 2θ = 56.94°, I = 19, hkl 5 1 -3
- 2θ = 57.14°, I = 23, hkl 4 2 3

=====

Record 3
BaSn2Pb: computed powder X-ray diffraction pattern (copper Kα), based on a GGA-PBE-relaxed structure.
No peak broadening, texture or thermal motion is included.

Atomic structure:
Lattice parameters (Å, degrees): 8.290 6.920 9.886 90.00 90.00 90.00
Space group Pnma (No. 62)
Inequivalent atoms, fractional coordinates:
Ba 0.000 0.250 0.182
Sn 0.175 0.032 0.522
Pb 0.138 0.750 0.274

Main lines, low angle first (2θ from 10° to 80°):
- 2θ = 23.27°, I = 25, hkl 2 0 1
- 2θ = 24.60°, I = 32, hkl 1 1 2
- 2θ = 26.64°, I = 31, hkl 2 1 1
- 2θ = 30.98°, I = 45, hkl 2 1 2
- 2θ = 31.56°, I = 100, hkl 0 2 2
- 2θ = 33.70°, I = 53, hkl 3 0 1
- 2θ = 34.78°, I = 22, hkl 2 0 3
- 2θ = 34.98°, I = 31, hkl 2 2 1
- 2θ = 46.66°, I = 27, hkl 4 1 1
- 2θ = 50.53°, I = 37, hkl 3 2 3